The following is a theoretical X-ray diffraction stick pattern of CuTe2. It was derived from a GGA-PBE-relaxed structure, using copper Kα.
Kinematic intensities with the Lorentz-polarization factor, no thermal factor.

Top 10 peaks for 10° ≤ 2θ ≤ 80°, by angle:
- 2.877 Å, rel. 1000
- 2.549 Å, rel. 64
- 2.057 Å, rel. 281
- 2.012 Å, rel. 338
- 1.649 Å, rel. 187
- 1.579 Å, rel. 91
- 1.527 Å, rel. 107
- 1.438 Å, rel. 85
- 1.275 Å, rel. 174
- 1.216 Å, rel. 50

Crystal structure
a = 4.0235 Å, b = 4.0235 Å, c = 5.0981 Å
α = 90.00°, β = 90.00°, γ = 120.00°
Fractional positions:
Cu 0.0000 0.0000 0.0000
Te 0.3333 0.6667 0.2724
Te 0.6667 0.3333 0.7276

---

The following is a theoretical X-ray diffraction stick pattern of Cu7Te4. It was derived from a GGA-PBE-relaxed structure, using copper Kα.
Kinematic intensities with the Lorentz-polarization factor, no thermal factor.

Top 10 peaks for 10° ≤ 2θ ≤ 80°, by angle:
- 3.388 Å, rel. 288
- 3.352 Å, rel. 332
- 2.756 Å, rel. 201
- 2.549 Å, rel. 1000
- 2.411 Å, rel. 217
- 2.129 Å, rel. 747
- 1.935 Å, rel. 543
- 1.884 Å, rel. 169
- 1.219 Å, rel. 163
- 1.211 Å, rel. 155

Crystal structure
a = 7.7411 Å, b = 7.7411 Å, c = 7.8513 Å
α = 90.00°, β = 90.00°, γ = 120.00°
Fractional positions:
Cu 0.0000 0.0000 0.0000
Cu 0.0678 0.5339 0.2737
Cu 0.2516 0.1258 0.7584
Cu 0.2585 0.1293 0.2420
Cu 0.3333 0.6667 0.7662
Cu 0.4661 0.5339 0.2737
Cu 0.4661 0.9322 0.2737
Cu 0.5203 0.0405 0.6432
Cu 0.5203 0.4797 0.6432
Cu 0.8707 0.1293 0.2420
Cu 0.8707 0.7415 0.2420
Cu 0.8742 0.1258 0.7584
Cu 0.8742 0.7484 0.7584
Cu 0.9595 0.4797 0.6432
Te 0.1605 0.3209 0.5103
Te 0.1605 0.8395 0.5103
Te 0.1855 0.3711 0.0222
Te 0.1855 0.8145 0.0222
Te 0.6289 0.8145 0.0222
Te 0.6667 0.3333 0.3416
Te 0.6667 0.3333 0.8593
Te 0.6791 0.8395 0.5103

---

The following is a theoretical X-ray diffraction stick pattern of CuTe2. It was derived from a GGA-PBE-relaxed structure, using copper Kα.
Kinematic intensities with the Lorentz-polarization factor, no thermal factor.

Top 10 peaks for 10° ≤ 2θ ≤ 80°, by angle:
- 3.311 Å, rel. 107
- 2.961 Å, rel. 1000
- 2.703 Å, rel. 780
- 1.997 Å, rel. 512
- 1.837 Å, rel. 249
- 1.770 Å, rel. 440
- 1.445 Å, rel. 223
- 1.274 Å, rel. 148
- 1.230 Å, rel. 195
- 1.209 Å, rel. 123

Crystal structure
a = 6.6218 Å, b = 6.6218 Å, c = 6.6218 Å
α = 90.00°, β = 90.00°, γ = 90.00°
Fractional positions:
Cu 0.0000 0.0000 0.0000
Cu 0.0000 0.5000 0.5000
Cu 0.5000 0.0000 0.5000
Cu 0.5000 0.5000 0.0000
Te 0.1249 0.6249 0.8751
Te 0.1249 0.8751 0.3751
Te 0.3751 0.1249 0.8751
Te 0.3751 0.3751 0.3751
Te 0.6249 0.6249 0.6249
Te 0.6249 0.8751 0.1249
Te 0.8751 0.1249 0.6249
Te 0.8751 0.3751 0.1249

---

The following is a theoretical X-ray diffraction stick pattern of Th2CuTe6. It was derived from a GGA-PBE-relaxed structure, using copper Kα.
Kinematic intensities with the Lorentz-polarization factor, no thermal factor.

Top 10 peaks for 10° ≤ 2θ ≤ 80°, by angle:
- 5.744 Å, rel. 156
- 3.355 Å, rel. 1000
- 2.871 Å, rel. 386
- 2.842 Å, rel. 172
- 2.542 Å, rel. 485
- 2.513 Å, rel. 139
- 2.403 Å, rel. 360
- 2.196 Å, rel. 336
- 1.744 Å, rel. 175
- 1.427 Å, rel. 153

Crystal structure
a = 6.3084 Å, b = 4.3913 Å, c = 10.5225 Å
α = 90.00°, β = 98.67°, γ = 90.00°
Fractional positions:
Th 0.0000 0.0000 0.0000
Th 0.4134 0.5000 0.6701
Cu 0.1031 0.5000 0.3696
Te 0.1033 0.0000 0.5012
Te 0.2947 0.5000 0.1673
Te 0.4704 0.0000 0.8934
Te 0.6050 0.0000 0.4993
Te 0.7983 0.5000 0.1718
Te 0.9389 0.5000 0.7765

---

The following is a theoretical X-ray diffraction stick pattern of Tl2CuTe2. It was derived from a GGA-PBE-relaxed structure, using copper Kα.
Kinematic intensities with the Lorentz-polarization factor, no thermal factor.

Top 10 peaks for 10° ≤ 2θ ≤ 80°, by angle:
- 8.054 Å, rel. 391
- 4.221 Å, rel. 158
- 4.027 Å, rel. 168
- 2.887 Å, rel. 1000
- 2.685 Å, rel. 202
- 2.594 Å, rel. 210
- 2.453 Å, rel. 456
- 2.187 Å, rel. 356
- 1.696 Å, rel. 209
- 1.363 Å, rel. 202

Crystal structure
a = 8.6276 Å, b = 8.6276 Å, c = 8.6276 Å
α = 150.63°, β = 150.63°, γ = 42.01°
Fractional positions:
Tl 0.2500 0.7500 0.5000
Tl 0.7500 0.2500 0.5000
Cu 0.0000 0.0000 0.0000
Te 0.4104 0.4104 0.0000
Te 0.5896 0.5896 0.0000

---

The following is a theoretical X-ray diffraction stick pattern of TlCu3Te2. It was derived from a GGA-PBE-relaxed structure, using copper Kα.
Kinematic intensities with the Lorentz-polarization factor, no thermal factor.

Top 10 peaks for 10° ≤ 2θ ≤ 80°, by angle:
- 3.386 Å, rel. 259
- 3.102 Å, rel. 429
- 3.030 Å, rel. 376
- 2.761 Å, rel. 823
- 2.710 Å, rel. 1000
- 2.039 Å, rel. 384
- 1.998 Å, rel. 227
- 1.916 Å, rel. 163
- 1.843 Å, rel. 153
- 1.269 Å, rel. 145

Crystal structure
a = 8.5705 Å, b = 8.5711 Å, c = 16.7872 Å
α = 90.00°, β = 120.63°, γ = 90.00°
Fractional positions:
Tl 0.0000 0.2464 0.0000
Tl 0.0000 0.7536 0.5000
Tl 0.2431 0.2463 0.2474
Tl 0.2431 0.7537 0.7474
Tl 0.4936 0.2459 0.4999
Tl 0.4936 0.7541 0.9999
Tl 0.7424 0.2484 0.7474
Tl 0.7424 0.7516 0.2474
Cu 0.0581 0.1273 0.6758
Cu 0.0581 0.8727 0.1758
Cu 0.1533 0.3764 0.7817
Cu 0.1533 0.6236 0.2817
Cu 0.2877 0.3622 0.6703
Cu 0.2877 0.6378 0.1703
Cu 0.3238 0.3588 0.9564
Cu 0.3238 0.6412 0.4564
Cu 0.4032 0.1266 0.7815
Cu 0.4032 0.8734 0.2815
Cu 0.5606 0.1214 0.9559
Cu 0.5606 0.8786 0.4559
Cu 0.5828 0.1252 0.2104
Cu 0.5828 0.8748 0.7104
Cu 0.6658 0.3754 0.0438
Cu 0.6658 0.6246 0.5438
Cu 0.7034 0.3652 0.3246
Cu 0.7034 0.6348 0.8246
Cu 0.8369 0.3731 0.2167
Cu 0.8369 0.6269 0.7167
Cu 0.9378 0.1306 0.3242
Cu 0.9378 0.8694 0.8242
Cu 0.9982 0.2469 0.5008
Cu 0.9982 0.7531 0.0008
Te 0.0616 0.4232 0.3900
Te 0.0616 0.5768 0.8900
Te 0.1988 0.0860 0.8668
Te 0.1988 0.9140 0.3668
Te 0.2869 0.0681 0.6079
Te 0.2869 0.9319 0.1079
Te 0.4589 0.4129 0.1320
Te 0.4589 0.5871 0.6320
Te 0.5274 0.4167 0.8650
Te 0.5274 0.5833 0.3650
Te 0.7118 0.0745 0.3888
Te 0.7118 0.9255 0.8888
Te 0.7896 0.0816 0.1306
Te 0.7896 0.9184 0.6306
Te 0.9313 0.4236 0.6082
Te 0.9313 0.5764 0.1082

---

The following is a theoretical X-ray diffraction stick pattern of TmCuTe2. It was derived from a GGA-PBE-relaxed structure, using copper Kα.
Kinematic intensities with the Lorentz-polarization factor, no thermal factor.

Top 10 peaks for 10° ≤ 2θ ≤ 80°, by angle:
- 3.653 Å, rel. 140
- 3.201 Å, rel. 923
- 2.457 Å, rel. 1000
- 2.109 Å, rel. 575
- 1.894 Å, rel. 138
- 1.761 Å, rel. 165
- 1.600 Å, rel. 264
- 1.352 Å, rel. 138
- 1.305 Å, rel. 197
- 1.275 Å, rel. 244

Crystal structure
a = 4.2182 Å, b = 4.2182 Å, c = 6.6428 Å
α = 90.00°, β = 90.00°, γ = 120.00°
Fractional positions:
Tm 0.0000 0.0000 0.0000
Cu 0.0000 0.0000 0.5000
Te 0.3333 0.6667 0.2740
Te 0.6667 0.3333 0.7260

---

The following is a theoretical X-ray diffraction stick pattern of TmCuTe2. It was derived from a GGA-PBE-relaxed structure, using copper Kα.
Kinematic intensities with the Lorentz-polarization factor, no thermal factor.

Top 10 peaks for 10° ≤ 2θ ≤ 80°, by angle:
- 6.840 Å, rel. 183
- 3.289 Å, rel. 1000
- 2.527 Å, rel. 633
- 2.166 Å, rel. 533
- 1.948 Å, rel. 250
- 1.809 Å, rel. 181
- 1.644 Å, rel. 171
- 1.388 Å, rel. 151
- 1.342 Å, rel. 113
- 1.310 Å, rel. 159

Crystal structure
a = 4.3310 Å, b = 4.3310 Å, c = 6.8403 Å
α = 90.00°, β = 90.00°, γ = 120.00°
Fractional positions:
Tm 0.0000 0.0000 0.0000
Cu 0.3333 0.6667 0.3720
Te 0.3333 0.6667 0.7566
Te 0.6667 0.3333 0.2725

---

The following is a theoretical X-ray diffraction stick pattern of U4CuTe12. It was derived from a GGA-PBE-relaxed structure, using copper Kα.
Kinematic intensities with the Lorentz-polarization factor, no thermal factor.

Top 10 peaks for 10° ≤ 2θ ≤ 80°, by angle:
- 3.275 Å, rel. 1000
- 3.007 Å, rel. 157
- 2.802 Å, rel. 182
- 2.775 Å, rel. 185
- 2.764 Å, rel. 136
- 2.565 Å, rel. 133
- 2.452 Å, rel. 406
- 2.342 Å, rel. 131
- 2.334 Å, rel. 203
- 2.110 Å, rel. 279

Crystal structure
a = 7.4109 Å, b = 7.4109 Å, c = 11.2992 Å
α = 108.82°, β = 108.82°, γ = 69.40°
Fractional positions:
U 0.0000 0.0000 0.0000
U 0.3847 0.8816 0.6801
U 0.5041 0.5041 0.9988
U 0.8816 0.3847 0.6801
Cu 0.0056 0.0056 0.3051
Te 0.1701 0.6698 0.7788
Te 0.1869 0.6791 0.1667
Te 0.2007 0.2007 0.5146
Te 0.2146 0.2146 0.8998
Te 0.4357 0.9331 0.1709
Te 0.4495 0.4495 0.5047
Te 0.6698 0.1701 0.7788
Te 0.6791 0.1869 0.1667
Te 0.6926 0.6926 0.5098
Te 0.7151 0.7151 0.9017
Te 0.9331 0.4357 0.1709
Te 0.9459 0.9459 0.5081

---

The following is a theoretical X-ray diffraction stick pattern of VCu3Te4. It was derived from a GGA-PBE-relaxed structure, using copper Kα.
Kinematic intensities with the Lorentz-polarization factor, no thermal factor.

Top 10 peaks for 10° ≤ 2θ ≤ 80°, by angle:
- 5.916 Å, rel. 139
- 3.416 Å, rel. 1000
- 2.958 Å, rel. 105
- 2.646 Å, rel. 90
- 2.092 Å, rel. 797
- 1.972 Å, rel. 40
- 1.784 Å, rel. 462
- 1.479 Å, rel. 126
- 1.357 Å, rel. 184
- 1.208 Å, rel. 252

Crystal structure
a = 5.9164 Å, b = 5.9164 Å, c = 5.9164 Å
α = 90.00°, β = 90.00°, γ = 90.00°
Fractional positions:
V 0.0000 0.0000 0.0000
Cu 0.0000 0.0000 0.5000
Cu 0.0000 0.5000 0.0000
Cu 0.5000 0.0000 0.0000
Te 0.2520 0.2520 0.2520
Te 0.2520 0.7480 0.7480
Te 0.7480 0.2520 0.7480
Te 0.7480 0.7480 0.2520

---

The following is a theoretical X-ray diffraction stick pattern of YCuTe2. It was derived from a GGA-PBE-relaxed structure, using copper Kα.
Kinematic intensities with the Lorentz-polarization factor, no thermal factor.

Top 10 peaks for 10° ≤ 2θ ≤ 80°, by angle:
- 3.464 Å, rel. 201
- 3.314 Å, rel. 497
- 3.301 Å, rel. 1000
- 2.557 Å, rel. 423
- 2.542 Å, rel. 338
- 2.176 Å, rel. 307
- 2.168 Å, rel. 601
- 1.974 Å, rel. 227
- 1.844 Å, rel. 137
- 1.819 Å, rel. 168

Crystal structure
a = 6.9285 Å, b = 4.3528 Å, c = 7.5031 Å
α = 90.00°, β = 90.61°, γ = 90.00°
Fractional positions:
Y 0.0000 0.0000 0.0000
Y 0.0000 0.5000 0.5000
Cu 0.3512 0.0000 0.3375
Cu 0.6488 0.0000 0.6625
Te 0.2612 0.0000 0.6749
Te 0.2665 0.5000 0.1614
Te 0.7335 0.5000 0.8386
Te 0.7388 0.0000 0.3251

---

The following is a theoretical X-ray diffraction stick pattern of YCu3Te3. It was derived from a GGA-PBE-relaxed structure, using copper Kα.
Kinematic intensities with the Lorentz-polarization factor, no thermal factor.

Top 10 peaks for 10° ≤ 2θ ≤ 80°, by angle:
- 3.732 Å, rel. 418
- 3.483 Å, rel. 268
- 3.290 Å, rel. 993
- 2.546 Å, rel. 926
- 2.155 Å, rel. 1000
- 1.972 Å, rel. 703
- 1.832 Å, rel. 227
- 1.645 Å, rel. 215
- 1.455 Å, rel. 226
- 1.206 Å, rel. 210

Crystal structure
a = 8.1911 Å, b = 8.1911 Å, c = 8.1911 Å
α = 54.21°, β = 54.21°, γ = 54.21°
Fractional positions:
Y 0.1656 0.1656 0.1656
Y 0.8344 0.8344 0.8344
Cu 0.0187 0.7420 0.3686
Cu 0.2580 0.6314 0.9813
Cu 0.3686 0.0187 0.7420
Cu 0.6314 0.9813 0.2580
Cu 0.7420 0.3686 0.0187
Cu 0.9813 0.2580 0.6314
Te 0.1035 0.4207 0.7296
Te 0.2704 0.8965 0.5793
Te 0.4207 0.7296 0.1035
Te 0.5793 0.2704 0.8965
Te 0.7296 0.1035 0.4207
Te 0.8965 0.5793 0.2704

---

The following is a theoretical X-ray diffraction stick pattern of YCuTe2. It was derived from a GGA-PBE-relaxed structure, using copper Kα.
Kinematic intensities with the Lorentz-polarization factor, no thermal factor.

Top 10 peaks for 10° ≤ 2θ ≤ 80°, by angle:
- 3.450 Å, rel. 145
- 3.311 Å, rel. 1000
- 2.547 Å, rel. 531
- 2.179 Å, rel. 568
- 1.964 Å, rel. 315
- 1.842 Å, rel. 147
- 1.820 Å, rel. 178
- 1.656 Å, rel. 140
- 1.397 Å, rel. 147
- 1.318 Å, rel. 128

Crystal structure
a = 4.3582 Å, b = 4.3582 Å, c = 6.9006 Å
α = 90.00°, β = 90.00°, γ = 120.00°
Fractional positions:
Y 0.0000 0.0000 0.0000
Cu 0.3333 0.6667 0.3748
Te 0.3333 0.6667 0.7546
Te 0.6667 0.3333 0.2744